Starting from a PBE-relaxed structure, the powder XRD pattern of YIn2Sn2 was simulated for copper Kα.

Principal peaks in the range 2θ = 10–90°, in order of falling intensity:
| 2θ/deg | I/Imax |
| --- | --- |
| 33.07 | 100 |
| 69.35 | 23 |
| 33.78 | 23 |
| 59.98 | 16 |
| 40.26 | 15 |
| 40.74 | 14 |
| 53.54 | 12 |
| 68.63 | 12 |
| 53.92 | 12 |
| 58.61 | 10 |

```
data_YIn2Sn2
_symmetry_space_group_name_H-M 'P 1'
_symmetry_Int_Tables_number 1
_cell_length_a 13.4498
_cell_length_b 13.4498
_cell_length_c 4.4806
_cell_angle_alpha 90.00
_cell_angle_beta 90.00
_cell_angle_gamma 161.04
loop_
_symmetry_equiv_pos_as_xyz
'x,y,z'
loop_
_atom_site_label
_atom_site_type_symbol
_atom_site_fract_x
_atom_site_fract_y
_atom_site_fract_z
_atom_site_occupancy
Y1 Y 0.1550 0.8450 0.7500 1
Y2 Y 0.8450 0.1550 0.2500 1
In1 In 0.0530 0.9470 0.2500 1
In2 In 0.4505 0.5495 0.2500 1
In3 In 0.5495 0.4505 0.7500 1
In4 In 0.9470 0.0530 0.7500 1
Sn1 Sn 0.2501 0.7499 0.2500 1
Sn2 Sn 0.3554 0.6446 0.7500 1
Sn3 Sn 0.6446 0.3554 0.2500 1
Sn4 Sn 0.7499 0.2501 0.7500 1
```


Starting from a PBE-relaxed structure, the powder XRD pattern of La6Ag2Os was simulated for copper Kα.

Principal peaks in the range 2θ = 10–90°, in order of falling intensity:
| 2θ/deg | I/Imax |
| --- | --- |
| 31.70 | 100 |
| 31.14 | 69 |
| 29.93 | 41 |
| 27.00 | 41 |
| 13.41 | 39 |
| 38.83 | 35 |
| 50.34 | 32 |
| 32.90 | 31 |
| 35.84 | 27 |
| 34.31 | 26 |

```
data_La6Ag2Os
_symmetry_space_group_name_H-M 'P 1'
_symmetry_Int_Tables_number 1
_cell_length_a 6.4945
_cell_length_b 9.4046
_cell_length_c 11.0714
_cell_angle_alpha 90.00
_cell_angle_beta 123.07
_cell_angle_gamma 90.00
loop_
_symmetry_equiv_pos_as_xyz
'x,y,z'
loop_
_atom_site_label
_atom_site_type_symbol
_atom_site_fract_x
_atom_site_fract_y
_atom_site_fract_z
_atom_site_occupancy
La1 La 0.0543 0.1972 0.4629 1
La2 La 0.0543 0.3028 0.9629 1
La3 La 0.3555 0.6628 0.4574 1
La4 La 0.3555 0.8372 0.9574 1
La5 La 0.3832 0.0270 0.2768 1
La6 La 0.3832 0.4730 0.7768 1
La7 La 0.6168 0.5270 0.2232 1
La8 La 0.6168 0.9730 0.7232 1
La9 La 0.6445 0.1628 0.0426 1
La10 La 0.6445 0.3372 0.5426 1
La11 La 0.9457 0.6972 0.0371 1
La12 La 0.9457 0.8028 0.5371 1
Ag1 Ag 0.1070 0.0998 0.7460 1
Ag2 Ag 0.1070 0.4002 0.2460 1
Ag3 Ag 0.8930 0.5998 0.7540 1
Ag4 Ag 0.8930 0.9002 0.2540 1
Os1 Os 0.0000 0.0000 0.0000 1
Os2 Os 0.0000 0.5000 0.5000 1
```


Starting from a PBE-relaxed structure, the powder XRD pattern of ZnHg6 was simulated for copper Kα.

Principal peaks in the range 2θ = 10–90°, in order of falling intensity:
| 2θ/deg | I/Imax |
| --- | --- |
| 24.53 | 100 |
| 14.09 | 83 |
| 34.97 | 78 |
| 37.87 | 66 |
| 40.60 | 50 |
| 19.98 | 40 |
| 58.76 | 34 |
| 70.24 | 32 |
| 31.84 | 25 |
| 64.64 | 21 |

```
data_ZnHg6
_symmetry_space_group_name_H-M 'P 1'
_symmetry_Int_Tables_number 1
_cell_length_a 7.6978
_cell_length_b 7.6978
_cell_length_c 7.6978
_cell_angle_alpha 109.47
_cell_angle_beta 109.47
_cell_angle_gamma 109.47
loop_
_symmetry_equiv_pos_as_xyz
'x,y,z'
loop_
_atom_site_label
_atom_site_type_symbol
_atom_site_fract_x
_atom_site_fract_y
_atom_site_fract_z
_atom_site_occupancy
Zn1 Zn 0.0000 0.0000 0.0000 1
Hg1 Hg 0.2500 0.5000 0.7500 1
Hg2 Hg 0.2500 0.7500 0.5000 1
Hg3 Hg 0.5000 0.2500 0.7500 1
Hg4 Hg 0.5000 0.7500 0.2500 1
Hg5 Hg 0.7500 0.2500 0.5000 1
Hg6 Hg 0.7500 0.5000 0.2500 1
```


Starting from a PBE-relaxed structure, the powder XRD pattern of Ca2Ge4Pt3 was simulated for copper Kα.

Principal peaks in the range 2θ = 10–90°, in order of falling intensity:
| 2θ/deg | I/Imax |
| --- | --- |
| 39.46 | 100 |
| 20.28 | 48 |
| 35.20 | 47 |
| 25.91 | 47 |
| 23.15 | 45 |
| 36.98 | 42 |
| 42.40 | 40 |
| 46.25 | 32 |
| 69.54 | 29 |
| 47.83 | 26 |

```
data_Ca2Ge4Pt3
_symmetry_space_group_name_H-M 'P 1'
_symmetry_Int_Tables_number 1
_cell_length_a 8.1915
_cell_length_b 8.1915
_cell_length_c 7.6900
_cell_angle_alpha 90.00
_cell_angle_beta 90.00
_cell_angle_gamma 139.45
loop_
_symmetry_equiv_pos_as_xyz
'x,y,z'
loop_
_atom_site_label
_atom_site_type_symbol
_atom_site_fract_x
_atom_site_fract_y
_atom_site_fract_z
_atom_site_occupancy
Ca1 Ca 0.1072 0.8928 0.9087 1
Ca2 Ca 0.3928 0.6072 0.4087 1
Ca3 Ca 0.6072 0.3928 0.5913 1
Ca4 Ca 0.8928 0.1072 0.0913 1
Ge1 Ge 0.1817 0.8183 0.5276 1
Ge2 Ge 0.1883 0.3117 0.7500 1
Ge3 Ge 0.3117 0.1883 0.2500 1
Ge4 Ge 0.3183 0.6817 0.0276 1
Ge5 Ge 0.6817 0.3183 0.9724 1
Ge6 Ge 0.6883 0.8117 0.7500 1
Ge7 Ge 0.8117 0.6883 0.2500 1
Ge8 Ge 0.8183 0.1817 0.4724 1
Pt1 Pt 0.0000 0.0000 0.5000 1
Pt2 Pt 0.0230 0.4770 0.7500 1
Pt3 Pt 0.4770 0.0230 0.2500 1
Pt4 Pt 0.5000 0.5000 0.0000 1
Pt5 Pt 0.5230 0.9770 0.7500 1
Pt6 Pt 0.9770 0.5230 0.2500 1
```


Starting from a PBE-relaxed structure, the powder XRD pattern of YHoZnOs was simulated for copper Kα.

Principal peaks in the range 2θ = 10–90°, in order of falling intensity:
| 2θ/deg | I/Imax |
| --- | --- |
| 36.65 | 100 |
| 65.99 | 35 |
| 52.80 | 17 |
| 22.20 | 16 |
| 89.34 | 16 |
| 77.92 | 11 |
| 43.27 | 9 |
| 57.96 | 4 |
| 82.24 | 3 |
| 70.56 | 3 |

```
data_YHoZnOs
_symmetry_space_group_name_H-M 'P 1'
_symmetry_Int_Tables_number 1
_cell_length_a 4.9040
_cell_length_b 4.9040
_cell_length_c 4.9040
_cell_angle_alpha 60.00
_cell_angle_beta 60.00
_cell_angle_gamma 60.00
loop_
_symmetry_equiv_pos_as_xyz
'x,y,z'
loop_
_atom_site_label
_atom_site_type_symbol
_atom_site_fract_x
_atom_site_fract_y
_atom_site_fract_z
_atom_site_occupancy
Y1 Y 0.0000 0.0000 0.0000 1
Ho1 Ho 0.5000 0.5000 0.5000 1
Zn1 Zn 0.7500 0.7500 0.7500 1
Os1 Os 0.2500 0.2500 0.2500 1
```


Starting from a PBE-relaxed structure, the powder XRD pattern of ZrScCoOs was simulated for copper Kα.

Principal peaks in the range 2θ = 10–90°, in order of falling intensity:
| 2θ/deg | I/Imax |
| --- | --- |
| 39.66 | 100 |
| 71.98 | 33 |
| 23.98 | 29 |
| 57.34 | 17 |
| 46.89 | 15 |
| 85.46 | 11 |
| 27.76 | 10 |
| 63.05 | 7 |
| 77.11 | 5 |
| 64.88 | 4 |

```
data_ZrScCoOs
_symmetry_space_group_name_H-M 'P 1'
_symmetry_Int_Tables_number 1
_cell_length_a 4.5446
_cell_length_b 4.5446
_cell_length_c 4.5446
_cell_angle_alpha 60.00
_cell_angle_beta 60.00
_cell_angle_gamma 60.00
loop_
_symmetry_equiv_pos_as_xyz
'x,y,z'
loop_
_atom_site_label
_atom_site_type_symbol
_atom_site_fract_x
_atom_site_fract_y
_atom_site_fract_z
_atom_site_occupancy
Zr1 Zr 0.0000 0.0000 0.0000 1
Sc1 Sc 0.5000 0.5000 0.5000 1
Co1 Co 0.7500 0.7500 0.7500 1
Os1 Os 0.2500 0.2500 0.2500 1
```


Starting from a PBE-relaxed structure, the powder XRD pattern of KNa2RuO4 was simulated for copper Kα.

Principal peaks in the range 2θ = 10–90°, in order of falling intensity:
| 2θ/deg | I/Imax |
| --- | --- |
| 14.97 | 100 |
| 33.99 | 69 |
| 34.10 | 60 |
| 30.20 | 36 |
| 30.40 | 35 |
| 43.37 | 32 |
| 56.24 | 29 |
| 26.30 | 27 |
| 43.07 | 25 |
| 56.04 | 25 |

```
data_KNa2RuO4
_symmetry_space_group_name_H-M 'P 1'
_symmetry_Int_Tables_number 1
_cell_length_a 6.8200
_cell_length_b 6.8200
_cell_length_c 6.8200
_cell_angle_alpha 120.42
_cell_angle_beta 104.61
_cell_angle_gamma 103.97
loop_
_symmetry_equiv_pos_as_xyz
'x,y,z'
loop_
_atom_site_label
_atom_site_type_symbol
_atom_site_fract_x
_atom_site_fract_y
_atom_site_fract_z
_atom_site_occupancy
K1 K 0.0000 0.0000 0.0000 1
K2 K 0.5000 0.0000 0.5000 1
Na1 Na 0.0000 0.5000 0.5000 1
Na2 Na 0.5000 0.0000 0.0000 1
Na3 Na 0.5000 0.5000 0.0000 1
Na4 Na 0.5000 0.5000 0.5000 1
Ru1 Ru 0.0000 0.0000 0.5000 1
Ru2 Ru 0.0000 0.5000 0.0000 1
O1 O 0.2232 0.2431 0.5200 1
O2 O 0.2232 0.7032 0.9800 1
O3 O 0.2249 0.0000 0.7249 1
O4 O 0.2249 0.5000 0.2249 1
O5 O 0.7751 0.0000 0.2751 1
O6 O 0.7751 0.5000 0.7751 1
O7 O 0.7768 0.2968 0.0200 1
O8 O 0.7768 0.7569 0.4800 1
```


Starting from a PBE-relaxed structure, the powder XRD pattern of Ca3Al2P4 was simulated for copper Kα.

Principal peaks in the range 2θ = 10–90°, in order of falling intensity:
| 2θ/deg | I/Imax |
| --- | --- |
| 39.53 | 100 |
| 37.04 | 95 |
| 28.58 | 59 |
| 26.94 | 53 |
| 28.38 | 46 |
| 45.35 | 46 |
| 31.50 | 35 |
| 22.03 | 30 |
| 29.42 | 28 |
| 50.54 | 27 |

```
data_Ca3Al2P4
_symmetry_space_group_name_H-M 'P 1'
_symmetry_Int_Tables_number 1
_cell_length_a 6.6186
_cell_length_b 15.2673
_cell_length_c 3.9997
_cell_angle_alpha 90.00
_cell_angle_beta 90.00
_cell_angle_gamma 90.00
loop_
_symmetry_equiv_pos_as_xyz
'x,y,z'
loop_
_atom_site_label
_atom_site_type_symbol
_atom_site_fract_x
_atom_site_fract_y
_atom_site_fract_z
_atom_site_occupancy
Ca1 Ca 0.0000 0.0000 0.0000 1
Ca2 Ca 0.2065 0.2996 0.5000 1
Ca3 Ca 0.2935 0.7996 0.0000 1
Ca4 Ca 0.5000 0.5000 0.5000 1
Ca5 Ca 0.7065 0.2004 0.0000 1
Ca6 Ca 0.7935 0.7004 0.5000 1
Al1 Al 0.1230 0.5818 0.0000 1
Al2 Al 0.3770 0.0818 0.5000 1
Al3 Al 0.6230 0.9182 0.5000 1
Al4 Al 0.8770 0.4182 0.0000 1
P1 P 0.2349 0.4327 0.0000 1
P2 P 0.2392 0.6610 0.5000 1
P3 P 0.2608 0.1610 0.0000 1
P4 P 0.2651 0.9327 0.5000 1
P5 P 0.7349 0.0673 0.5000 1
P6 P 0.7392 0.8390 0.0000 1
P7 P 0.7608 0.3390 0.5000 1
P8 P 0.7651 0.5673 0.0000 1
```


Starting from a PBE-relaxed structure, the powder XRD pattern of RbPS2 was simulated for copper Kα.

Principal peaks in the range 2θ = 10–90°, in order of falling intensity:
| 2θ/deg | I/Imax |
| --- | --- |
| 27.37 | 100 |
| 26.41 | 67 |
| 27.77 | 59 |
| 16.78 | 42 |
| 28.51 | 41 |
| 13.78 | 41 |
| 27.47 | 36 |
| 19.09 | 32 |
| 13.11 | 30 |
| 17.19 | 29 |

```
data_RbPS2
_symmetry_space_group_name_H-M 'P 1'
_symmetry_Int_Tables_number 1
_cell_length_a 6.7392
_cell_length_b 6.7553
_cell_length_c 6.8741
_cell_angle_alpha 79.17
_cell_angle_beta 88.25
_cell_angle_gamma 75.45
loop_
_symmetry_equiv_pos_as_xyz
'x,y,z'
loop_
_atom_site_label
_atom_site_type_symbol
_atom_site_fract_x
_atom_site_fract_y
_atom_site_fract_z
_atom_site_occupancy
Rb1 Rb 0.2436 0.0255 0.2547 1
Rb2 Rb 0.7564 0.9745 0.7453 1
P1 P 0.1338 0.4032 0.6943 1
P2 P 0.8662 0.5968 0.3057 1
S1 S 0.2003 0.5105 0.3789 1
S2 S 0.2267 0.0851 0.7456 1
S3 S 0.7733 0.9149 0.2544 1
S4 S 0.7997 0.4895 0.6211 1
```


Starting from a PBE-relaxed structure, the powder XRD pattern of Rb2Ba4Cu was simulated for copper Kα.

Principal peaks in the range 2θ = 10–90°, in order of falling intensity:
| 2θ/deg | I/Imax |
| --- | --- |
| 24.74 | 100 |
| 27.66 | 75 |
| 20.90 | 48 |
| 36.12 | 45 |
| 22.77 | 37 |
| 47.18 | 34 |
| 14.24 | 29 |
| 39.51 | 29 |
| 46.09 | 22 |
| 41.66 | 21 |

```
data_Rb2Ba4Cu
_symmetry_space_group_name_H-M 'P 1'
_symmetry_Int_Tables_number 1
_cell_length_a 12.5707
_cell_length_b 12.5707
_cell_length_c 12.5707
_cell_angle_alpha 150.26
_cell_angle_beta 150.26
_cell_angle_gamma 42.55
loop_
_symmetry_equiv_pos_as_xyz
'x,y,z'
loop_
_atom_site_label
_atom_site_type_symbol
_atom_site_fract_x
_atom_site_fract_y
_atom_site_fract_z
_atom_site_occupancy
Rb1 Rb 0.1639 0.1639 0.0000 1
Rb2 Rb 0.8361 0.8361 0.0000 1
Ba1 Ba 0.0000 0.5000 0.5000 1
Ba2 Ba 0.3651 0.3651 0.0000 1
Ba3 Ba 0.5000 0.0000 0.5000 1
Ba4 Ba 0.6349 0.6349 0.0000 1
Cu1 Cu 0.5000 0.5000 0.0000 1
```


Starting from a PBE-relaxed structure, the powder XRD pattern of MoOsSe4 was simulated for copper Kα.

Principal peaks in the range 2θ = 10–90°, in order of falling intensity:
| 2θ/deg | I/Imax |
| --- | --- |
| 12.97 | 100 |
| 34.27 | 57 |
| 36.58 | 22 |
| 42.44 | 21 |
| 47.89 | 21 |
| 30.24 | 12 |
| 31.19 | 11 |
| 53.96 | 10 |
| 53.21 | 10 |
| 15.45 | 9 |

```
data_MoOsSe4
_symmetry_space_group_name_H-M 'P 1'
_symmetry_Int_Tables_number 1
_cell_length_a 7.2108
_cell_length_b 7.2108
_cell_length_c 5.8826
_cell_angle_alpha 102.44
_cell_angle_beta 102.44
_cell_angle_gamma 27.63
loop_
_symmetry_equiv_pos_as_xyz
'x,y,z'
loop_
_atom_site_label
_atom_site_type_symbol
_atom_site_fract_x
_atom_site_fract_y
_atom_site_fract_z
_atom_site_occupancy
Mo1 Mo 0.0000 0.0000 0.0000 1
Os1 Os 0.4917 0.4917 0.6085 1
Se1 Se 0.0926 0.0926 0.4469 1
Se2 Se 0.3957 0.3957 0.1795 1
Se3 Se 0.6283 0.6283 0.9562 1
Se4 Se 0.8657 0.8657 0.6517 1
```


Starting from a PBE-relaxed structure, the powder XRD pattern of B7C5 was simulated for copper Kα.

Principal peaks in the range 2θ = 10–90°, in order of falling intensity:
| 2θ/deg | I/Imax |
| --- | --- |
| 41.31 | 100 |
| 41.72 | 33 |
| 20.51 | 30 |
| 67.80 | 19 |
| 68.38 | 17 |
| 89.74 | 11 |
| 75.61 | 10 |
| 75.04 | 8 |
| 13.51 | 7 |
| 55.87 | 5 |

```
data_B7C5
_symmetry_space_group_name_H-M 'P 1'
_symmetry_Int_Tables_number 1
_cell_length_a 4.9853
_cell_length_b 2.5317
_cell_length_c 6.6738
_cell_angle_alpha 90.00
_cell_angle_beta 100.78
_cell_angle_gamma 90.00
loop_
_symmetry_equiv_pos_as_xyz
'x,y,z'
loop_
_atom_site_label
_atom_site_type_symbol
_atom_site_fract_x
_atom_site_fract_y
_atom_site_fract_z
_atom_site_occupancy
B1 B 0.0000 0.0000 0.0000 1
B2 B 0.0223 0.0000 0.7478 1
B3 B 0.3587 0.0000 0.3758 1
B4 B 0.4001 0.0000 0.1141 1
B5 B 0.6547 0.0000 0.7015 1
B6 B 0.7296 0.0000 0.4448 1
B7 B 0.8273 0.5000 0.1269 1
C1 C 0.1793 0.5000 0.4529 1
C2 C 0.1997 0.5000 0.6777 1
C3 C 0.4871 0.5000 0.7865 1
C4 C 0.5168 0.5000 0.0109 1
C5 C 0.8870 0.5000 0.3627 1
```